For Ba2TbMn2O6, the PBE+U geometry in Alexandria gives the calculated powder X-ray diffraction pattern in this record (Cu Kα (λ = 1.5418 Å)).

Top 10 peaks for 10 to 90 degrees two-theta, in order of rising 2θ:
d (Å)	I (rel.)
3.344	51
3.031	100
2.895	60
2.246	34
2.094	24
1.805	18
1.750	20
1.723	26
1.627	33
1.516	18

Structural model:
Unit cell a=6.760 b=6.760 c=6.760 alpha=53.29 beta=53.29 gamma=53.29
Fractional positions:
Ba1 0.217 0.217 0.217
Ba2 0.783 0.783 0.783
Tb1 0.000 0.000 0.000
Mn1 0.442 0.442 0.442
Mn2 0.558 0.558 0.558
O1 0.244 0.751 0.751
O2 0.249 0.249 0.756
O3 0.249 0.756 0.249
O4 0.751 0.244 0.751
O5 0.751 0.751 0.244
O6 0.756 0.249 0.249



For Ba3Mn2TcO8, the PBE+U geometry in Alexandria gives the calculated powder X-ray diffraction pattern in this record (Cu Kα (λ = 1.5418 Å)).

Top 10 peaks for 10 to 90 degrees two-theta, in order of rising 2θ:
d (Å)	I (rel.)
7.680	14
3.057	85
2.917	100
2.110	44
1.796	22
1.710	31
1.684	19
1.529	18
1.458	16
1.354	14

Structural model:
Unit cell a=5.833 b=5.833 c=7.680 alpha=90.00 beta=90.00 gamma=120.00
Fractional positions:
Ba1 0.000 0.000 0.000
Ba2 0.333 0.667 0.649
Ba3 0.667 0.333 0.351
Mn1 0.333 0.667 0.210
Mn2 0.667 0.333 0.790
Tc1 0.000 0.000 0.500
O1 0.156 0.312 0.349
O2 0.156 0.844 0.349
O3 0.312 0.156 0.651
O4 0.333 0.667 0.964
O5 0.667 0.333 0.036
O6 0.688 0.844 0.349
O7 0.844 0.156 0.651
O8 0.844 0.688 0.651



For Ba3MnTe2O8, the PBE+U geometry in Alexandria gives the calculated powder X-ray diffraction pattern in this record (Cu Kα (λ = 1.5418 Å)).

Top 10 peaks for 10 to 90 degrees two-theta, in order of rising 2θ:
d (Å)	I (rel.)
4.377	13
3.187	82
3.010	100
2.387	19
2.188	43
1.878	14
1.770	31
1.738	20
1.505	16
1.361	13

Structural model:
Unit cell a=6.020 b=6.020 c=8.054 alpha=90.00 beta=90.00 gamma=120.00
Fractional positions:
Ba1 0.000 0.000 0.000
Ba2 0.333 0.667 0.634
Ba3 0.667 0.333 0.366
Mn1 0.000 0.000 0.500
Te1 0.333 0.667 0.201
Te2 0.667 0.333 0.799
O1 0.166 0.332 0.330
O2 0.166 0.834 0.330
O3 0.332 0.166 0.670
O4 0.333 0.667 0.942
O5 0.667 0.333 0.058
O6 0.668 0.834 0.330
O7 0.834 0.166 0.670
O8 0.834 0.668 0.670



For BaMn2TeO2, the PBE+U geometry in Alexandria gives the calculated powder X-ray diffraction pattern in this record (Cu Kα (λ = 1.5418 Å)).

Top 10 peaks for 10 to 90 degrees two-theta, in order of rising 2θ:
d (Å)	I (rel.)
4.335	100
3.607	43
3.490	36
3.233	38
3.179	30
2.840	28
2.746	30
2.529	29
2.398	27
2.273	32

Structural model:
Unit cell a=7.338 b=6.148 c=7.809 alpha=90.00 beta=107.95 gamma=90.00
Fractional positions:
Ba1 0.195 0.250 0.316
Ba2 0.805 0.750 0.684
Mn1 0.374 0.002 0.775
Mn2 0.374 0.498 0.775
Mn3 0.626 0.502 0.225
Mn4 0.626 0.998 0.225
Te1 0.264 0.750 0.047
Te2 0.736 0.250 0.953
O1 0.220 0.250 0.643
O2 0.462 0.750 0.664
O3 0.538 0.250 0.336
O4 0.780 0.750 0.357